For ZnNi2P2O10, a DFT-relaxed cell (GGA+U, Alexandria) gives the simulated XRD peak list in this record (Cu Kα X-rays).

Peak list (12 most intense, 5° ≤ 2θ ≤ 70°, low angle first)
two_theta, Rel. int.
22.07, 39.5
28.22, 61.1
30.59, 31.9
30.86, 100.0
32.12, 22.2
32.47, 42.1
37.58, 31.0
43.40, 15.6
45.01, 20.6
54.55, 24.2
57.69, 19.2
65.14, 20.1

Structural model:
Cell: 9.9672 9.0295 6.4619 Å, 78.16 62.46 39.38°
Atoms (fractional coordinates):
Zn  0.1250  0.1250  0.1250
Zn  0.8750  0.8750  0.8750
Ni  0.0000  0.5000  0.5000
Ni  0.5000  0.0000  0.5000
Ni  0.5000  0.5000  0.0000
Ni  0.5000  0.5000  0.5000
P  0.0805  0.0805  0.6695
P  0.3305  0.3305  0.9195
P  0.6695  0.6695  0.0805
P  0.9195  0.9195  0.3305
O  0.0517  0.2187  0.4698
O  0.1090  0.4367  0.1626
O  0.1626  0.7916  0.1090
O  0.2084  0.8374  0.5633
O  0.2187  0.0517  0.7598
O  0.2402  0.5302  0.7813
O  0.2984  0.2984  0.4516
O  0.4367  0.1090  0.7916
O  0.4516  0.4516  0.2984
O  0.4698  0.7598  0.0517
O  0.5302  0.2402  0.9483
O  0.5484  0.5484  0.7016
O  0.5633  0.8910  0.2084
O  0.7016  0.7016  0.5484
O  0.7598  0.4698  0.2187
O  0.7813  0.9483  0.2402
O  0.7916  0.1626  0.4367
O  0.8374  0.2084  0.8910
O  0.8910  0.5633  0.8374
O  0.9483  0.7813  0.5302